This entry pairs a crystal structure of Pr6CdNi2 with its calculated X-ray diffraction stick pattern. Radiation: Cu Kα. Structure: the GGA-PBE geometry in Alexandria.
Kinematic intensities with the Lorentz-polarization factor, no thermal factor.

Structure:
Cell: 9.573 10.247 10.541 Å, 90.00 90.00 90.00°
Space group Immm (No. 71)
Inequivalent atoms, fractional coordinates:
1 Pr 0.000 0.202 0.228
2 Pr 0.192 0.500 0.177
3 Pr 0.206 0.319 0.500
4 Cd 0.000 0.000 0.000
5 Cd 0.000 0.000 0.500
6 Ni 0.000 0.360 0.000
7 Ni 0.000 0.500 0.380

Top 6 peaks for 2θ = 10–90°, low angle first:
2θ (°)  d/Å  Rel. int.  (hkl)
29.31  3.047  310  3 1 0
30.68  2.914  1000  2 2 2
32.61  2.746  603  1 3 2
32.80  2.730  398  2 1 3
33.33  2.688  339  2 3 1
57.92  1.592  285  5 3 2

This entry pairs a crystal structure of Cd3NiPt6 with its calculated X-ray diffraction stick pattern. Radiation: Cu Kα. Structure: the GGA-PBE geometry in Alexandria.
Kinematic intensities with the Lorentz-polarization factor, no thermal factor.

Structure:
Cell: 7.614 4.628 10.091 Å, 90.00 111.90 90.00°
Space group P2_1/m (No. 11)
Inequivalent atoms, fractional coordinates:
1 Cd 0.093 0.250 0.230
2 Cd 0.295 0.250 0.021
3 Cd 0.322 0.750 0.378
4 Ni 0.099 0.750 0.569
5 Pt 0.086 0.250 0.712
6 Pt 0.111 0.750 0.071
7 Pt 0.274 0.250 0.532
8 Pt 0.297 0.750 0.855
9 Pt 0.486 0.750 0.671
10 Pt 0.490 0.250 0.828

Top 6 peaks for 2θ = 10–90°, low angle first:
2θ (°)  d/Å  Rel. int.  (hkl)
35.68  2.517  162  3 0 -2
37.17  2.419  160  2 0 2
38.92  2.314  365  0 2 0
40.81  2.211  1000  1 1 -4
42.15  2.144  332  2 1 2
71.77  1.315  188  1 3 -4

This entry pairs a crystal structure of Cd2Ni2Pt with its calculated X-ray diffraction stick pattern. Radiation: Cu Kα. Structure: the GGA-PBE geometry in Alexandria.
Kinematic intensities with the Lorentz-polarization factor, no thermal factor.

Structure:
Cell: 6.420 6.420 3.911 Å, 90.00 90.00 90.00°
Space group P4/mbm (No. 127)
Inequivalent atoms, fractional coordinates:
1 Cd 0.175 0.325 0.000
2 Ni 0.126 0.626 0.500
3 Pt 0.000 0.000 0.500

Top 6 peaks for 2θ = 10–90°, low angle first:
2θ (°)  d/Å  Rel. int.  (hkl)
30.16  2.963  448  1 1 1
36.20  2.481  969  2 0 1
38.91  2.314  1000  2 1 1
44.63  2.030  659  3 1 0
46.44  1.955  341  0 0 2
66.37  1.408  395  3 1 2

This entry pairs a crystal structure of CdNiPt2 with its calculated X-ray diffraction stick pattern. Radiation: Cu Kα. Structure: the GGA-PBE geometry in Alexandria.
Kinematic intensities with the Lorentz-polarization factor, no thermal factor.

Structure:
Cell: 2.841 4.714 9.306 Å, 90.00 90.00 90.00°
Space group Immm (No. 71)
Inequivalent atoms, fractional coordinates:
1 Cd 0.000 0.000 0.000
2 Ni 0.000 0.000 0.500
3 Pt 0.000 0.500 0.234

Top 6 peaks for 2θ = 10–90°, low angle first:
2θ (°)  d/Å  Rel. int.  (hkl)
19.07  4.653  219  0 0 2
38.18  2.357  333  0 2 0
38.70  2.327  288  0 0 4
41.90  2.156  1000  1 1 2
55.50  1.656  200  0 2 4
71.56  1.319  203  1 3 2